For Sm4ErGa5, a structure optimized by DFT (PBE) gives the computed powder X-ray diffraction pattern in this record (Cu Kα, 1.54184 Å).
Peak positions follow from Bragg's law for the DFT cell and can differ from measured ones.

Principal peaks in the range 5° ≤ 2θ ≤ 70°, by angle:
2θ 24.56, I 15; 2θ 35.01, I 100; 2θ 43.23, I 5; 2θ 50.22, I 6; 2θ 50.40, I 12; 2θ 56.69, I 2; 2θ 56.84, I 4; 2θ 62.71, I 12; 2θ 62.83, I 24

Structural model:
```
Sm4ErGa5
1.0
3.6209 0.0000 0.0000
0.0000 3.6209 0.0000
0.0000 0.0000 18.1669
Sm Er Ga
4 1 5
Cartesian
0.0000 0.0000 1.8434
0.0000 0.0000 5.5354
0.0000 0.0000 12.6316
0.0000 0.0000 16.3236
0.0000 0.0000 9.0835
1.8104 1.8104 0.0000
1.8104 1.8104 3.6916
1.8104 1.8104 7.4090
1.8104 1.8104 10.7580
1.8104 1.8104 14.4754
```